This entry pairs a crystal structure of LiFePbO3 with its computed powder diffraction line list. Radiation: CuKα. Structure: a crystal structure in Alexandria, relaxed with GGA+U.
Kinematic intensities with the Lorentz-polarization factor, no thermal factor.

Structural model:
Unit cell a=6.2270 b=5.6715 c=4.2220 alpha=90.00 beta=97.27 gamma=90.00
Space group Cm (No. 8)
Unique sites:
Li 0.0000 0.0000 0.0000 x2
Fe 0.2988 0.0000 0.7015 x2
Pb 0.1729 0.5000 0.3271 x2
O 0.0444 0.2505 0.7054 x4
O 0.2948 0.0000 0.2066 x2

The 10 most intense peaks (10° ≤ 2θ ≤ 90°), low angle first:
hkl 1 1 0, 21.3 deg, d = 4.181 Å, intensity 97.3
hkl 2 0 0, 28.9 deg, d = 3.092 Å, intensity 81.3
hkl 1 1 1, 31.5 deg, d = 2.838 Å, intensity 100.0
hkl 2 0 1, 38.3 deg, d = 2.348 Å, intensity 36.2
hkl 2 2 0, 43.3 deg, d = 2.089 Å, intensity 22.9
hkl 2 2 -1, 46.9 deg, d = 1.938 Å, intensity 50.4
hkl 3 1 0, 46.9 deg, d = 1.935 Å, intensity 25.1
hkl 2 2 1, 50.4 deg, d = 1.809 Å, intensity 21.9
hkl 0 2 2, 54.5 deg, d = 1.683 Å, intensity 28.9
hkl 3 3 0, 67.2 deg, d = 1.393 Å, intensity 21.2